[1]
Computed XRD peak list of Na2HfBi2 for Cu Kα, from the GGA-PBE geometry in Alexandria.
Neutral-atom scattering factors, no anomalous dispersion.

The 6 most intense peaks (2θ from 10° to 90°), by intensity:
hkl 2 1 1, 34.2°, I 100; hkl 2 1 0, 22.9°, I 83; hkl 0 0 1, 25.0°, I 79; hkl 3 1 0, 32.6°, I 79; hkl 3 1 1, 41.6°, I 60; hkl 2 2 0, 29.1°, I 48

Structure:
```
Na2HfBi2
1.0
8.672 0.000 0.000
0.000 8.672 0.000
0.000 0.000 3.557
Na Hf Bi
4 2 4
Direct
0.120 0.380 0.000 Na
0.380 0.880 0.000 Na
0.620 0.120 0.000 Na
0.880 0.620 0.000 Na
0.000 0.000 0.500 Hf
0.500 0.500 0.500 Hf
0.182 0.682 0.500 Bi
0.318 0.182 0.500 Bi
0.682 0.818 0.500 Bi
0.818 0.318 0.500 Bi
```

***

[2]
Computed XRD peak list of Cs3GeCl7 for Cu Kα, from the GGA-PBE geometry in Alexandria.
Neutral-atom scattering factors, no anomalous dispersion.

The 6 most intense peaks (2θ from 10° to 90°), by intensity:
hkl 2 0 1, 21.2°, I 100; hkl 2 1 2, 31.3°, I 87; hkl 2 2 0, 24.7°, I 51; hkl 3 1 0, 27.7°, I 50; hkl 2 2 2, 34.9°, I 39; hkl 0 0 2, 24.2°, I 37

Structure:
```
Cs3GeCl7
1.0
10.175 0.000 0.000
0.000 10.175 0.000
0.000 0.000 7.351
Cs Ge Cl
6 2 14
Direct
0.000 0.000 0.000 Cs
0.181 0.319 0.500 Cs
0.319 0.819 0.500 Cs
0.500 0.500 0.000 Cs
0.681 0.181 0.500 Cs
0.819 0.681 0.500 Cs
0.000 0.500 0.000 Ge
0.500 0.000 0.000 Ge
0.000 0.000 0.500 Cl
0.114 0.614 0.226 Cl
0.114 0.614 0.774 Cl
0.161 0.339 0.000 Cl
0.339 0.839 0.000 Cl
0.386 0.114 0.226 Cl
0.386 0.114 0.774 Cl
0.500 0.500 0.500 Cl
0.614 0.886 0.226 Cl
0.614 0.886 0.774 Cl
0.661 0.161 0.000 Cl
0.839 0.661 0.000 Cl
0.886 0.386 0.226 Cl
0.886 0.386 0.774 Cl
```